[1]
# Mg2Cd
Computed XRD peak list, Cu Ka. Input: a DFT-relaxed cell (PBE, the Materials Project).
Peak positions follow from Bragg's law for the DFT cell and can differ from measured ones.

The 10 most intense peaks (2θ = 15–90°), in order of rising 2θ:
| 2theta | Rel. int. | h k l |
| --- | --- | --- |
| 17.1 | 41 | 0 0 1 |
| 18.9 | 25 | 1 0 0 |
| 25.6 | 23 | 1 0 1 |
| 33.1 | 40 | 1 1 0 |
| 34.5 | 25 | 0 0 2 |
| 37.4 | 100 | 1 1 1 |
| 48.6 | 26 | 1 1 2 |
| 59.1 | 15 | 3 0 0 |
| 63.8 | 20 | 1 1 3 |
| 70.3 | 18 | 3 0 2 |

Cell and atoms:
Cell: 5.4157 5.4157 5.1975 Å, 90.00 90.00 120.00°
Space group P-62m (No. 189)
Asymmetric unit:
Mg 0.0000 0.0000 0.0000 [1 per cell]
Mg 0.0000 0.6645 0.5000 [3 per cell]
Cd 0.3333 0.6667 0.0000 [2 per cell]

[2]
# Ag2C4Br3N
Computed XRD peak list, Cu Ka. Input: a DFT-relaxed cell (PBE, the Materials Project).
Peak positions follow from Bragg's law for the DFT cell and can differ from measured ones.

The 10 most intense peaks (2θ = 15–90°), in order of rising 2θ:
| 2theta | Rel. int. | h k l |
| --- | --- | --- |
| 15.1 | 100 | 2 0 1 |
| 23.2 | 52 | 1 1 2 |
| 24.0 | 35 | 4 0 0 |
| 25.5 | 57 | 2 1 2 |
| 27.1 | 57 | 4 1 0 |
| 32.0 | 56 | 1 2 2 |
| 36.4 | 97 | 3 2 2 |
| 39.9 | 94 | 2 2 3 |
| 40.7 | 64 | 5 2 1 |
| 45.4 | 38 | 4 3 0 |

Cell and atoms:
Cell: 14.840 7.112 9.552 Å, 90.00 90.00 90.00°
Space group Pnma (No. 62)
Asymmetric unit:
Ag 0.096 0.006 0.099 [8 per cell]
C 0.100 0.250 0.490 [4 per cell]
C 0.127 0.137 0.618 [8 per cell]
C 0.180 0.250 0.406 [4 per cell]
Br 0.045 0.750 0.871 [4 per cell]
Br 0.099 0.750 0.292 [4 per cell]
Br 0.199 0.250 0.978 [4 per cell]
N 0.207 0.250 0.551 [4 per cell]

[3]
# AcTlAu2
Computed XRD peak list, Cu Ka. Input: a DFT-relaxed cell (PBE, the Materials Project).
Peak positions follow from Bragg's law for the DFT cell and can differ from measured ones.

The 5 most intense peaks (2θ = 15–90°), in order of rising 2θ:
| 2theta | Rel. int. | h k l |
| --- | --- | --- |
| 33.7 | 100 | 2 2 0 |
| 48.5 | 18 | 4 0 0 |
| 60.4 | 39 | 4 2 2 |
| 71.0 | 12 | 4 4 0 |
| 80.9 | 17 | 6 2 0 |

Cell and atoms:
Cell: 7.513 7.513 7.513 Å, 90.00 90.00 90.00°
Space group Fm-3m (No. 225)
Asymmetric unit:
Ac 0.000 0.000 0.000 [4 per cell]
Tl 0.000 0.000 0.500 [4 per cell]
Au 0.250 0.250 0.250 [8 per cell]

[4]
# PrPt3
Computed XRD peak list, Cu Ka. Input: a DFT-relaxed cell (PBE, the Materials Project).
Peak positions follow from Bragg's law for the DFT cell and can differ from measured ones.

The 9 most intense peaks (2θ = 15–90°), in order of rising 2θ:
| 2theta | Rel. int. | h k l |
| --- | --- | --- |
| 21.0 | 1 | 1 0 0 |
| 29.9 | 1 | 1 1 0 |
| 36.9 | 100 | 1 1 1 |
| 42.8 | 50 | 2 0 0 |
| 48.2 | 1 | 2 1 0 |
| 53.1 | 1 | 2 1 1 |
| 62.2 | 33 | 2 2 0 |
| 74.5 | 39 | 3 1 1 |
| 78.5 | 11 | 2 2 2 |

Cell and atoms:
Cell: 4.222 4.222 4.222 Å, 90.00 90.00 90.00°
Space group Pm-3m (No. 221)
Asymmetric unit:
Pr 0.000 0.000 0.000 [1 per cell]
Pt 0.000 0.500 0.500 [3 per cell]